(1)
Diffraction record for KRb4Cd. The PXRD pattern is calculated, not measured: it uses a crystal structure in Alexandria, relaxed with GGA-PBE and copper Kα.
Neutral-atom scattering factors, no anomalous dispersion.

Top 12 peaks for 5 to 70 degrees two-theta, by angle:
2θ/deg, I/Imax
8.3, 65
9.7, 73
21.7, 56
23.4, 27
23.8, 29
24.2, 83
24.4, 100
26.9, 31
29.5, 41
35.6, 27
39.6, 26
44.2, 27

Structural model:
```
KRb4Cd
1.0
11.3198 -5.0375 0.0000
11.3198 5.0375 0.0000
-2.8275 0.0000 7.6704
K Rb Cd
2 8 2
Cartesian
3.9408 0.0000 1.5098 K
15.8712 0.0000 6.1606 K
7.5613 2.6173 2.9388 Rb
11.3198 2.7970 0.0000 Rb
5.1635 0.0000 6.3734 Rb
12.2507 2.6173 4.7316 Rb
7.5613 -2.6173 2.9388 Rb
14.6486 0.0000 1.2970 Rb
11.3198 -2.7970 0.0000 Rb
12.2507 -2.6173 4.7316 Rb
9.3800 0.0000 5.2151 Cd
10.4321 0.0000 2.4553 Cd
```

(2)
Diffraction record for K11Rb17Cd. The PXRD pattern is calculated, not measured: it uses a crystal structure in Alexandria, relaxed with GGA-PBE and copper Kα.
Neutral-atom scattering factors, no anomalous dispersion.

Top 12 peaks for 5 to 70 degrees two-theta, by angle:
2θ/deg, I/Imax
7.4, 17
21.2, 17
22.0, 28
22.3, 76
22.4, 100
22.7, 99
22.8, 29
23.0, 35
24.6, 21
39.3, 15
39.6, 17
40.1, 18

Structural model:
```
K11Rb17Cd
1.0
8.3710 -12.1437 0.0000
8.3710 12.1437 0.0000
-8.1895 0.0000 11.5766
K Rb Cd
11 17 1
Cartesian
0.0000 0.0000 0.0000 K
5.8663 10.0415 4.3384 K
7.5990 2.2033 0.4413 K
2.5991 4.4796 9.7779 K
7.5990 -2.2033 0.4413 K
10.8405 4.4378 2.6891 K
5.8479 2.1493 7.9518 K
2.5991 -4.4796 9.7779 K
5.8479 -2.1493 7.9518 K
10.8405 -4.4378 2.6891 K
5.8663 -10.0415 4.3384 K
-1.9946 4.7705 8.2434 Rb
3.1487 3.4343 0.5231 Rb
1.7365 8.3148 7.3727 Rb
6.9450 7.5163 0.3957 Rb
-3.8261 0.0000 8.7221 Rb
1.6535 3.6977 5.0385 Rb
3.1487 -3.4343 0.5231 Rb
6.2902 4.8605 4.2222 Rb
0.9843 0.0000 7.7405 Rb
4.4913 0.0000 3.6730 Rb
-1.9946 -4.7705 8.2434 Rb
1.6535 -3.6977 5.0385 Rb
12.0326 0.0000 0.4065 Rb
6.9450 -7.5163 0.3957 Rb
9.3082 0.0000 4.6025 Rb
6.2902 -4.8605 4.2222 Rb
1.7365 -8.3148 7.3727 Rb
0.6169 0.0000 3.6994 Cd
```

(3)
Diffraction record for K2Rb8Cd3. The PXRD pattern is calculated, not measured: it uses a crystal structure in Alexandria, relaxed with GGA-PBE and copper Kα.
Neutral-atom scattering factors, no anomalous dispersion.

Top 12 peaks for 5 to 70 degrees two-theta, by angle:
2θ/deg, I/Imax
7.6, 86
7.8, 13
16.0, 10
24.9, 100
27.3, 26
28.3, 24
30.4, 44
39.7, 18
46.9, 16
48.1, 20
50.3, 11
51.4, 10

Structural model:
```
K2Rb8Cd3
1.0
13.0489 0.0000 0.0000
0.0000 6.3089 0.0000
-6.5031 0.0000 11.5685
K Rb Cd
2 8 3
Cartesian
-3.2434 0.0000 11.5670 K
9.7892 0.0000 0.0015 K
-3.2449 3.1544 7.9592 Rb
0.0315 0.0000 3.4728 Rb
0.0450 0.0000 8.1005 Rb
3.2659 3.1544 3.4518 Rb
3.2798 3.1544 8.1167 Rb
6.5008 0.0000 3.4680 Rb
6.5143 0.0000 8.0957 Rb
9.7907 3.1544 3.6093 Rb
0.2048 3.1544 5.7854 Cd
3.2729 0.0000 5.7843 Cd
6.3410 3.1544 5.7831 Cd
```

(4)
Diffraction record for K2Rb4CdSb2. The PXRD pattern is calculated, not measured: it uses a crystal structure in Alexandria, relaxed with GGA-PBE and copper Kα.
Neutral-atom scattering factors, no anomalous dispersion.

Top 12 peaks for 5 to 70 degrees two-theta, by angle:
2θ/deg, I/Imax
10.2, 88
17.4, 28
22.9, 49
23.9, 100
28.0, 50
29.3, 44
29.5, 23
30.3, 29
31.0, 48
33.3, 32
36.8, 21
46.1, 28

Structural model:
```
K2Rb4CdSb2
1.0
7.6051 -5.3867 0.0000
7.6051 5.3867 0.0000
-1.5615 0.0000 5.5889
K Rb Cd Sb
2 4 1 2
Cartesian
1.8619 0.0000 1.0199 K
11.7868 0.0000 4.5690 K
5.0105 2.3364 1.8263 Rb
8.6382 2.3364 3.7626 Rb
5.0105 -2.3364 1.8263 Rb
8.6382 -2.3364 3.7626 Rb
7.6051 0.0000 0.0000 Cd
3.4921 0.0000 4.4492 Sb
10.1566 0.0000 1.1397 Sb
```

(5)
Diffraction record for KRbTl2Cd. The PXRD pattern is calculated, not measured: it uses a crystal structure in Alexandria, relaxed with GGA-PBE and copper Kα.
Neutral-atom scattering factors, no anomalous dispersion.

Top 12 peaks for 5 to 70 degrees two-theta, by angle:
2θ/deg, I/Imax
12.2, 51
18.0, 45
26.5, 26
27.1, 19
28.0, 48
28.9, 100
36.1, 19
36.4, 19
37.1, 31
38.6, 18
43.9, 23
48.2, 21

Structural model:
```
KRbTl2Cd
1.0
6.7316 0.0000 0.0000
0.0000 7.9456 0.0000
0.0000 0.0000 7.2420
K Rb Tl Cd
2 2 4 2
Cartesian
1.6829 0.0000 0.5928 K
5.0487 0.0000 6.6492 K
1.6829 3.9728 1.4252 Rb
5.0487 3.9728 5.8168 Rb
1.6829 2.2753 4.8536 Tl
1.6829 5.6703 4.8536 Tl
5.0487 2.2753 2.3884 Tl
5.0487 5.6703 2.3884 Tl
0.0000 0.0000 3.6210 Cd
3.3658 0.0000 3.6210 Cd
```

(6)
Diffraction record for KCd3Rh. The PXRD pattern is calculated, not measured: it uses a crystal structure in Alexandria, relaxed with GGA-PBE and copper Kα.
Neutral-atom scattering factors, no anomalous dispersion.

Top 12 peaks for 5 to 70 degrees two-theta, by angle:
2θ/deg, I/Imax
16.0, 81
24.2, 23
27.4, 20
29.3, 26
32.3, 100
32.9, 29
37.1, 42
37.5, 62
39.3, 33
40.7, 69
41.2, 53
58.3, 25

Structural model:
```
KCd3Rh
1.0
-3.2231 3.6842 5.4492
3.2231 -3.6842 5.4492
3.2231 3.6842 -5.4492
K Cd Rh
2 6 2
Cartesian
0.0000 0.0000 0.0000 K
0.0000 3.6842 0.0000 K
1.6115 1.8421 -2.7246 Cd
1.6115 -1.8421 2.7246 Cd
3.2231 2.2503 0.0000 Cd
-1.6115 1.8421 2.7246 Cd
1.6115 1.8421 2.7246 Cd
0.0000 1.4339 5.4492 Cd
3.2231 0.0000 1.5238 Rh
0.0000 3.6842 3.9254 Rh
```